(1)
Diffraction record for Pr7Te2Au2. The PXRD pattern is theoretical, not measured: it uses a DFT-relaxed cell (PBE, Alexandria) and Cu Kα X-rays.
Peak positions follow from Bragg's law for the DFT cell and can differ from measured ones.

Main lines, by angle (10° ≤ 2θ ≤ 80°):
- 28.3 deg, d = 3.158 Å, I = 51
- 31.2 deg, d = 2.866 Å, I = 31
- 31.6 deg, d = 2.832 Å, I = 100
- 32.2 deg, d = 2.783 Å, I = 34
- 36.0 deg, d = 2.495 Å, I = 33
- 43.2 deg, d = 2.095 Å, I = 25

Atomic structure:
```
data_Pr7Te2Au2
_symmetry_space_group_name_H-M 'I m m 2'
_symmetry_Int_Tables_number 44
_cell_length_a 4.1898
_cell_length_b 16.6325
_cell_length_c 10.0429
_cell_angle_alpha 90.00
_cell_angle_beta 90.00
_cell_angle_gamma 90.00
loop_
_symmetry_equiv_pos_as_xyz
'x,y,z'
'-x,-y,z'
'-x,y,z'
'x,-y,z'
'x+1/2,y+1/2,z+1/2'
'-x+1/2,-y+1/2,z+1/2'
'-x+1/2,y+1/2,z+1/2'
'x+1/2,-y+1/2,z+1/2'
loop_
_atom_site_label
_atom_site_type_symbol
_atom_site_fract_x
_atom_site_fract_y
_atom_site_fract_z
Pr1 Pr 0.0000 0.0000 0.0000
Pr2 Pr 0.0000 0.1219 0.5876
Pr3 Pr 0.0000 0.3174 0.3802
Pr4 Pr 0.0000 0.3602 0.7448
Te1 Te 0.0000 0.0000 0.3334
Te2 Te 0.0000 0.5000 0.2423
Au1 Au 0.0000 0.2388 0.0799
```

---

(2)
Diffraction record for Pr5Te5Au. The PXRD pattern is theoretical, not measured: it uses a DFT-relaxed cell (PBE, Alexandria) and Cu Kα X-rays.
Peak positions follow from Bragg's law for the DFT cell and can differ from measured ones.

Main lines, by angle (10° ≤ 2θ ≤ 80°):
- 27.9 deg, d = 3.200 Å, I = 66
- 28.1 deg, d = 3.179 Å, I = 65
- 28.2 deg, d = 3.165 Å, I = 64
- 40.0 deg, d = 2.253 Å, I = 100
- 40.2 deg, d = 2.243 Å, I = 49
- 49.6 deg, d = 1.837 Å, I = 53

Atomic structure:
```
data_Pr5Te5Au
_symmetry_space_group_name_H-M 'C 1 2/m 1'
_symmetry_Int_Tables_number 12
_cell_length_a 14.2185
_cell_length_b 6.4000
_cell_length_c 8.9625
_cell_angle_alpha 90.00
_cell_angle_beta 108.62
_cell_angle_gamma 90.00
loop_
_symmetry_equiv_pos_as_xyz
'x,y,z'
'-x,-y,-z'
'-x,y,-z'
'x,-y,z'
'x+1/2,y+1/2,z'
'-x+1/2,-y+1/2,-z'
'-x+1/2,y+1/2,-z'
'x+1/2,-y+1/2,z'
loop_
_atom_site_label
_atom_site_type_symbol
_atom_site_fract_x
_atom_site_fract_y
_atom_site_fract_z
Pr1 Pr 0.0000 0.0000 0.0000
Pr2 Pr 0.1611 0.5000 0.8360
Pr3 Pr 0.1620 0.5000 0.3299
Te1 Te 0.0000 0.5000 0.5000
Te2 Te 0.1644 0.0000 0.8277
Te3 Te 0.1718 0.0000 0.3349
Au1 Au 0.0000 0.5000 0.0000
```

---

(3)
Diffraction record for PrTe2Au. The PXRD pattern is theoretical, not measured: it uses a DFT-relaxed cell (PBE, Alexandria) and Cu Kα X-rays.
Peak positions follow from Bragg's law for the DFT cell and can differ from measured ones.

Main lines, by angle (10° ≤ 2θ ≤ 80°):
- 26.9 deg, d = 3.310 Å, I = 19
- 30.4 deg, d = 2.945 Å, I = 36
- 30.5 deg, d = 2.927 Å, I = 100
- 33.6 deg, d = 2.671 Å, I = 39
- 34.6 deg, d = 2.593 Å, I = 32
- 42.0 deg, d = 2.150 Å, I = 33

Atomic structure:
```
data_PrTe2Au
_symmetry_space_group_name_H-M 'P b c m'
_symmetry_Int_Tables_number 57
_cell_length_a 6.8146
_cell_length_b 7.9907
_cell_length_c 8.6004
_cell_angle_alpha 90.00
_cell_angle_beta 90.00
_cell_angle_gamma 90.00
loop_
_symmetry_equiv_pos_as_xyz
'x,y,z'
'-x,-y,-z'
'-x,-y,z+1/2'
'x,y,-z+1/2'
'x,-y+1/2,-z'
'-x,y+1/2,z'
'-x,y+1/2,-z+1/2'
'x,-y+1/2,z+1/2'
loop_
_atom_site_label
_atom_site_type_symbol
_atom_site_fract_x
_atom_site_fract_y
_atom_site_fract_z
Pr1 Pr 0.1772 0.0433 0.2500
Te1 Te 0.0853 0.7500 0.0000
Te2 Te 0.3628 0.0769 0.7500
Au1 Au 0.4952 0.2500 0.0000
```

---

(4)
Diffraction record for PrThAu2. The PXRD pattern is theoretical, not measured: it uses a DFT-relaxed cell (PBE, Alexandria) and Cu Kα X-rays.
Peak positions follow from Bragg's law for the DFT cell and can differ from measured ones.

Main lines, by angle (10° ≤ 2θ ≤ 80°):
- 30.4 deg, d = 2.945 Å, I = 100
- 31.5 deg, d = 2.838 Å, I = 32
- 36.9 deg, d = 2.438 Å, I = 25
- 37.8 deg, d = 2.379 Å, I = 76
- 38.0 deg, d = 2.370 Å, I = 41
- 45.7 deg, d = 1.985 Å, I = 20

Atomic structure:
```
data_PrThAu2
_symmetry_space_group_name_H-M 'P 1 m 1'
_symmetry_Int_Tables_number 6
_cell_length_a 3.9698
_cell_length_b 4.7616
_cell_length_c 6.0054
_cell_angle_alpha 90.00
_cell_angle_beta 109.05
_cell_angle_gamma 90.00
loop_
_symmetry_equiv_pos_as_xyz
'x,y,z'
'x,-y,z'
loop_
_atom_site_label
_atom_site_type_symbol
_atom_site_fract_x
_atom_site_fract_y
_atom_site_fract_z
Pr1 Pr 0.0000 0.0000 0.0000
Th1 Th 0.7249 0.5000 0.4488
Au1 Au 0.2722 0.0000 0.5432
Au2 Au 0.4464 0.5000 0.8917
```

---

(5)
Diffraction record for PrTh2Au6. The PXRD pattern is theoretical, not measured: it uses a DFT-relaxed cell (PBE, Alexandria) and Cu Kα X-rays.
Peak positions follow from Bragg's law for the DFT cell and can differ from measured ones.

Main lines, by angle (10° ≤ 2θ ≤ 80°):
- 33.5 deg, d = 2.678 Å, I = 100
- 37.5 deg, d = 2.401 Å, I = 84
- 51.1 deg, d = 1.788 Å, I = 31
- 65.0 deg, d = 1.434 Å, I = 30
- 66.1 deg, d = 1.414 Å, I = 33
- 67.6 deg, d = 1.386 Å, I = 15

Atomic structure:
```
data_PrTh2Au6
_symmetry_space_group_name_H-M 'P 6/m m m'
_symmetry_Int_Tables_number 191
_symmetry_space_group_name_Hall '-P 6 2'
_cell_length_a 8.3176
_cell_length_b 8.3176
_cell_length_c 3.5000
_cell_angle_alpha 90.00
_cell_angle_beta 90.00
_cell_angle_gamma 120.00
loop_
_atom_site_label
_atom_site_type_symbol
_atom_site_fract_x
_atom_site_fract_y
_atom_site_fract_z
Pr1 Pr 0.0000 0.0000 0.0000
Th1 Th 0.3333 0.6667 0.0000
Au1 Au 0.0000 0.3337 0.5000
```

---

(6)
Diffraction record for Pr3Tl2Au2. The PXRD pattern is theoretical, not measured: it uses a DFT-relaxed cell (PBE, Alexandria) and Cu Kα X-rays.
Peak positions follow from Bragg's law for the DFT cell and can differ from measured ones.

Main lines, by angle (10° ≤ 2θ ≤ 80°):
- 31.4 deg, d = 2.853 Å, I = 100
- 33.6 deg, d = 2.665 Å, I = 83
- 33.9 deg, d = 2.648 Å, I = 60
- 39.1 deg, d = 2.302 Å, I = 37
- 52.7 deg, d = 1.737 Å, I = 34
- 61.2 deg, d = 1.514 Å, I = 30

Atomic structure:
```
data_Pr3Tl2Au2
_symmetry_space_group_name_H-M 'C m m m'
_symmetry_Int_Tables_number 65
_symmetry_space_group_name_Hall '-C 2 2'
_cell_length_a 4.6044
_cell_length_b 22.8750
_cell_length_c 3.6798
_cell_angle_alpha 90.00
_cell_angle_beta 90.00
_cell_angle_gamma 90.00
loop_
_atom_site_label
_atom_site_type_symbol
_atom_site_fract_x
_atom_site_fract_y
_atom_site_fract_z
Pr1 Pr 0.0000 0.0000 0.0000
Pr2 Pr 0.0000 0.1669 0.0000
Tl1 Tl 0.0000 0.4204 0.5000
Au1 Au 0.0000 0.2863 0.5000
```